# 1
SmMgGaPb: computed X-ray powder pattern (Cu Ka), based on a structure optimized by DFT (GGA-PBE).
Neutral-atom scattering factors, no anomalous dispersion.

Cell and atoms:
Cell: 4.409 4.646 4.784 Å, 90.00 90.00 90.00°
Space group Pmmm (No. 47)
Asymmetric unit:
Sm 0.000 0.000 0.000
Mg 0.000 0.500 0.500
Ga 0.500 0.500 0.000
Pb 0.500 0.000 0.500

The 12 most intense peaks (15° ≤ 2θ ≤ 90°), most intense first:
d 2.659, 2θ 33.7, I 100.0, (1 1 1); d 4.646, 2θ 19.1, I 31.1, (0 1 0); d 3.242, 2θ 27.5, I 26.3, (1 0 1); d 2.392, 2θ 37.6, I 18.6, (0 0 2); d 2.323, 2θ 38.8, I 17.1, (0 2 0); d 1.427, 2θ 65.4, I 14.8, (1 1 3); d 2.205, 2θ 40.9, I 14.7, (2 0 0); d 1.398, 2θ 67.0, I 13.8, (1 3 1); d 1.667, 2θ 55.1, I 12.4, (0 2 2); d 1.345, 2θ 70.0, I 12.1, (3 1 1); d 1.888, 2θ 48.2, I 11.9, (1 2 1); d 1.329, 2θ 70.9, I 11.7, (2 2 2)



# 2
Mg4Ga3Pd: computed X-ray powder pattern (Cu Ka), based on a structure optimized by DFT (GGA-PBE).
Neutral-atom scattering factors, no anomalous dispersion.

Cell and atoms:
Cell: 3.296 4.362 10.391 Å, 90.00 90.00 90.00°
Space group Pmm2 (No. 25)
Asymmetric unit:
Mg 0.000 0.000 0.000
Mg 0.000 0.500 0.307
Mg 0.500 0.000 0.480
Mg 0.500 0.500 0.813
Ga 0.000 0.000 0.725
Ga 0.000 0.500 0.578
Ga 0.500 0.500 0.081
Pd 0.500 0.000 0.218

The 12 most intense peaks (15° ≤ 2θ ≤ 90°), most intense first:
d 2.095, 2θ 43.2, I 100.0, (1 1 3); d 2.232, 2θ 40.4, I 87.6, (0 1 4); d 2.549, 2θ 35.2, I 86.2, (1 1 1); d 3.142, 2θ 28.4, I 83.9, (1 0 1); d 5.196, 2θ 17.1, I 66.6, (0 0 2); d 2.181, 2θ 41.4, I 47.8, (0 2 0); d 3.341, 2θ 26.7, I 44.6, (0 1 2); d 1.792, 2θ 51.0, I 32.6, (1 2 1); d 1.326, 2θ 71.1, I 31.1, (2 1 4); d 2.388, 2θ 37.7, I 22.1, (1 0 3); d 1.648, 2θ 55.8, I 19.4, (2 0 0); d 1.150, 2θ 84.2, I 19.3, (1 2 7)